1.
Simulated powder diffractogram
Compound: U8CoSe17
Radiation: copper Kα
Structure: a PBE-relaxed structure

Cell lengths 8.1641, 8.1641, 10.7846 Å; angles 100.04, 100.04, 64.43 degrees
Fractional positions:
U: 0.1791 0.6960 0.7975
U: 0.2006 0.2006 0.9547
U: 0.3040 0.8209 0.2025
U: 0.3204 0.3204 0.4863
U: 0.6796 0.6796 0.5137
U: 0.6960 0.1791 0.7975
U: 0.7994 0.7994 0.0453
U: 0.8209 0.3040 0.2025
Co: 0.0000 0.0000 0.5000
Se: 0.0000 0.0000 0.0000
Se: 0.0527 0.0527 0.7218
Se: 0.0533 0.6810 0.5249
Se: 0.1818 0.5647 0.0370
Se: 0.2165 0.2165 0.2228
Se: 0.2976 0.2976 0.7435
Se: 0.3190 0.9467 0.4751
Se: 0.4353 0.8182 0.9630
Se: 0.4793 0.4793 0.3297
Se: 0.5207 0.5207 0.6703
Se: 0.5647 0.1818 0.0370
Se: 0.6810 0.0533 0.5249
Se: 0.7024 0.7024 0.2565
Se: 0.7835 0.7835 0.7772
Se: 0.8182 0.4353 0.9630
Se: 0.9467 0.3190 0.4751
Se: 0.9473 0.9473 0.2782

Peak list (10 most intense, 2θ = 15–90°, by angle)
| two_theta | intensity |
| --- | --- |
| 19.09 | 48.5 |
| 23.43 | 49.3 |
| 24.32 | 100.0 |
| 24.85 | 82.7 |
| 33.28 | 65.9 |
| 33.98 | 61.2 |
| 36.02 | 57.4 |
| 36.88 | 57.6 |
| 38.89 | 72.5 |
| 41.50 | 67.7 |

2.
Simulated powder diffractogram
Compound: VCoSe2
Radiation: copper Kα
Structure: a PBE-relaxed structure

Cell lengths 7.8943, 5.8943, 7.4469 Å; angles 90.00, 116.40, 90.00 degrees
Fractional positions:
V: 0.0243 0.0254 0.3185
V: 0.0243 0.4746 0.8185
V: 0.9757 0.5254 0.1815
V: 0.9757 0.9746 0.6815
Co: 0.1122 0.6482 0.5592
Co: 0.1122 0.8518 0.0592
Co: 0.8878 0.1482 0.9408
Co: 0.8878 0.3518 0.4408
Se: 0.2021 0.2415 0.6419
Se: 0.2021 0.2585 0.1419
Se: 0.2928 0.7421 0.8986
Se: 0.2928 0.7579 0.3986
Se: 0.7072 0.2421 0.6014
Se: 0.7072 0.2579 0.1014
Se: 0.7979 0.7415 0.8581
Se: 0.7979 0.7585 0.3581

Peak list (10 most intense, 2θ = 15–90°, by angle)
| two_theta | intensity |
| --- | --- |
| 30.33 | 46.6 |
| 30.80 | 70.4 |
| 31.41 | 57.1 |
| 37.78 | 30.9 |
| 39.81 | 100.0 |
| 41.33 | 43.5 |
| 46.21 | 38.8 |
| 47.61 | 48.6 |
| 48.91 | 50.3 |
| 54.17 | 61.6 |

3.
Simulated powder diffractogram
Compound: CoWSe3
Radiation: copper Kα
Structure: a PBE-relaxed structure

Cell lengths 3.4156, 11.6763, 11.6763 Å; angles 150.67, 90.00, 90.00 degrees
Fractional positions:
Co: 0.2500 0.1364 0.8636
Co: 0.7500 0.8636 0.1364
W: 0.2500 0.5055 0.8431
W: 0.7500 0.8431 0.5055
Se: 0.2500 0.1092 0.6425
Se: 0.2500 0.5186 0.2636
Se: 0.2500 0.8159 0.9671
Se: 0.7500 0.2636 0.5186
Se: 0.7500 0.6425 0.1092
Se: 0.7500 0.9671 0.8159

Peak list (10 most intense, 2θ = 15–90°, by angle)
| two_theta | intensity |
| --- | --- |
| 15.49 | 61.0 |
| 15.69 | 100.0 |
| 19.09 | 90.0 |
| 30.48 | 81.7 |
| 32.53 | 73.1 |
| 36.30 | 65.2 |
| 38.73 | 59.3 |
| 41.17 | 55.8 |
| 43.55 | 74.0 |
| 48.30 | 74.6 |